Structure and theoretical XRD peak list of Tm3Cu4Ge4 (a crystal structure in the Materials Project, relaxed with GGA-PBE; λ = 1.5418 Å (Cu Kα)).
Lines closer than 0.1° are merged.

```
Tm3Cu4Ge4
1.0
-2.075 3.313 6.886
2.075 -3.313 6.886
2.075 3.313 -6.886
Tm Cu Ge
3 4 4
Cartesian
0.000 0.000 0.000
2.075 0.000 5.105
0.000 3.313 1.782
2.075 1.267 -2.340
2.075 1.267 2.340
0.000 2.045 4.547
0.000 2.045 9.226
0.000 0.000 2.983
2.075 2.036 0.000
0.000 1.276 6.886
0.000 0.000 10.790
```

Largest 6 diffraction maxima, low angle first, 2θ = 15–90°:
| 2θ/deg | intensity |
| --- | --- |
| 35.3 | 100 |
| 36.5 | 82 |
| 39.2 | 16 |
| 43.6 | 30 |
| 45.6 | 23 |
| 64.9 | 21 |